For Hf3N2O3, a DFT-relaxed cell (PBE, the Materials Project) gives the computed X-ray powder pattern in this record (CuKα).

Cell and atoms:
```
Hf3N2O3
1.0
5.2517 -2.0247 0.0000
5.2517 2.0247 0.0000
-0.0580 0.0000 10.5729
Hf N O
6 4 6
Direct
0.0000 0.0000 0.0000 Hf
0.0014 0.0014 0.3718 Hf
0.0476 0.0476 0.6827 Hf
0.6621 0.6621 0.1911 Hf
0.7125 0.7125 0.4931 Hf
0.7165 0.7165 0.8722 Hf
0.0922 0.0922 0.1791 N
0.1542 0.1542 0.8612 N
0.1577 0.1577 0.5154 N
0.5555 0.5555 0.3602 N
0.5476 0.5476 0.0058 O
0.6096 0.6096 0.6869 O
0.8078 0.8078 0.0472 O
0.8105 0.8105 0.3188 O
0.8976 0.8976 0.8160 O
0.8999 0.8999 0.5516 O
```

Peak list (10 most intense, 10° ≤ 2θ ≤ 80°, in order of falling intensity)
2theta	Rel. int.
34.81	100
23.55	94
33.85	77
16.88	54
30.63	50
30.47	48
44.76	33
55.11	20
51.90	20
55.21	19